Record 1
The following is a simulated X-ray powder pattern of Na4Al2Si6ClO24. It was derived from a cell relaxed with GGA-PBE, using Cu Kα X-rays.

Atomic structure:
```
data_Na4Al2Si6ClO24
_space_group_name_H-M_alt 'P 1'
_space_group_IT_number 1
_space_group_name_Hall 'P 1'
_cell_length_a 8.4037
_cell_length_b 9.1911
_cell_length_c 9.9587
_cell_angle_alpha 103.16
_cell_angle_beta 103.94
_cell_angle_gamma 116.53
loop_
_atom_site_label
_atom_site_type_symbol
_atom_site_fract_x
_atom_site_fract_y
_atom_site_fract_z
Na1 Na 0.0000 0.0000 0.0000
Na2 Na 0.0111 0.5429 0.3250
Na3 Na 0.1143 0.8150 0.6609
Na4 Na 0.4631 0.9023 0.3313
Al1 Al 0.4425 0.3594 0.8672
Al2 Al 0.8840 0.4787 0.8682
Si1 Si 0.0699 0.9238 0.3735
Si2 Si 0.1443 0.1935 0.5487
Si3 Si 0.2431 0.4644 0.0700
Si4 Si 0.3445 0.4326 0.3112
Si5 Si 0.6480 0.2402 0.0075
Si6 Si 0.8512 0.3373 0.5436
Cl1 Cl 0.7890 0.7728 0.2121
O1 O 0.0145 0.6837 0.8243
O2 O 0.0546 0.9839 0.5413
O3 O 0.0581 0.4733 0.9999
O4 O 0.1570 0.1318 0.3809
O5 O 0.1828 0.8267 0.3597
O6 O 0.1975 0.2936 0.1281
O7 O 0.2374 0.0136 0.9070
O8 O 0.3550 0.3236 0.6822
O9 O 0.3720 0.6036 0.2530
O10 O 0.3744 0.4763 0.9743
O11 O 0.4062 0.1695 0.9212
O12 O 0.4153 0.8241 0.0595
O13 O 0.4259 0.8491 0.9452
O14 O 0.4727 0.7666 0.6095
O15 O 0.6203 0.8695 0.5974
O16 O 0.6412 0.1935 0.4028
O17 O 0.6750 0.0932 0.8882
O18 O 0.6852 0.3953 0.9328
O19 O 0.6890 0.9789 0.9537
O20 O 0.7457 0.2937 0.1774
O21 O 0.7918 0.3313 0.6870
O22 O 0.9115 0.7025 0.9112
O23 O 0.9604 0.5260 0.5311
O24 O 0.9960 0.2566 0.5505
```

Largest 10 diffraction maxima, most intense first, 2θ from 10° to 90°:
21.9°, rel. 100, hkl 2 -1 0
12.1°, rel. 44, hkl 0 1 -1
21.6°, rel. 39, hkl -2 1 1
22.8°, rel. 38, hkl -1 1 2
19.9°, rel. 37, hkl 0 0 2
12.8°, rel. 35, hkl 1 0 0
19.1°, rel. 34, hkl 1 0 1
18.8°, rel. 34, hkl 0 1 -2
19.2°, rel. 29, hkl 1 1 -1
23.5°, rel. 26, hkl 0 2 0


Record 2
The following is a simulated X-ray powder pattern of RbPO3. It was derived from a cell relaxed with GGA-PBE, using Cu Kα X-rays.

Atomic structure:
```
data_RbPO3
_space_group_name_H-M_alt 'P 1'
_space_group_IT_number 1
_space_group_name_Hall 'P 1'
_cell_length_a 4.5762
_cell_length_b 6.2080
_cell_length_c 13.1571
_cell_angle_alpha 90.00
_cell_angle_beta 90.00
_cell_angle_gamma 90.00
loop_
_atom_site_label
_atom_site_type_symbol
_atom_site_fract_x
_atom_site_fract_y
_atom_site_fract_z
Rb1 Rb 0.2282 0.2500 0.0923
Rb2 Rb 0.2718 0.7500 0.5923
Rb3 Rb 0.7282 0.2500 0.4077
Rb4 Rb 0.7718 0.7500 0.9077
P1 P 0.1813 0.7500 0.3241
P2 P 0.3187 0.2500 0.8241
P3 P 0.6813 0.7500 0.1759
P4 P 0.8187 0.2500 0.6759
O1 O 0.1593 0.2500 0.7135
O2 O 0.2350 0.5415 0.3788
O3 O 0.2350 0.9585 0.3788
O4 O 0.2650 0.0415 0.8788
O5 O 0.2650 0.4585 0.8788
O6 O 0.3407 0.7500 0.2135
O7 O 0.6593 0.2500 0.7865
O8 O 0.7350 0.5415 0.1212
O9 O 0.7350 0.9585 0.1212
O10 O 0.7650 0.0415 0.6212
O11 O 0.7650 0.4585 0.6212
O12 O 0.8407 0.7500 0.2865
```

Largest 10 diffraction maxima, most intense first, 2θ from 10° to 90°:
25.1°, rel. 100, hkl 1 1 1
24.9°, rel. 63, hkl 0 1 3
37.6°, rel. 36, hkl 1 2 2
28.8°, rel. 25, hkl 0 2 0
27.1°, rel. 23, hkl 0 0 4
42.2°, rel. 21, hkl 1 1 5
39.4°, rel. 19, hkl 2 0 0
44.8°, rel. 19, hkl 1 2 4
33.6°, rel. 17, hkl 1 0 4
47.1°, rel. 16, hkl 2 1 3


Record 3
The following is a simulated X-ray powder pattern of Cu2Te. It was derived from a cell relaxed with GGA-PBE, using Cu Kα X-rays.

Atomic structure:
```
data_Cu2Te
_space_group_name_H-M_alt 'P 1'
_space_group_IT_number 1
_space_group_name_Hall 'P 1'
_cell_length_a 4.3040
_cell_length_b 4.3040
_cell_length_c 8.5235
_cell_angle_alpha 90.00
_cell_angle_beta 90.00
_cell_angle_gamma 120.00
loop_
_atom_site_label
_atom_site_type_symbol
_atom_site_fract_x
_atom_site_fract_y
_atom_site_fract_z
Cu1 Cu 0.3333 0.6667 0.1520
Cu2 Cu 0.3333 0.6667 0.8480
Cu3 Cu 0.6667 0.3333 0.1520
Cu4 Cu 0.6667 0.3333 0.8480
Te1 Te 0.0000 0.0000 0.2662
Te2 Te 0.0000 0.0000 0.7338
```

Largest 10 diffraction maxima, most intense first, 2θ from 10° to 90°:
42.0°, rel. 100, hkl 1 1 0
20.8°, rel. 85, hkl 0 0 2
10.4°, rel. 66, hkl 0 0 1
31.9°, rel. 60, hkl 1 0 2
47.3°, rel. 57, hkl 1 1 2
49.3°, rel. 51, hkl 1 0 4
39.9°, rel. 36, hkl 1 0 3
26.1°, rel. 29, hkl 1 0 1
82.0°, rel. 22, hkl 2 1 4
66.7°, rel. 20, hkl 2 0 4